Entry 1:
CuH6Br: theoretical X-ray diffraction stick pattern (a wavelength of 1.5418 Å), based on a cell relaxed with GGA-PBE.

Cell and atoms:
a = 4.6552 Å, b = 4.6552 Å, c = 5.2976 Å
α = 96.85°, β = 96.85°, γ = 75.76°
Sites, in units of the cell vectors:
Cu (0.0000, 0.0000, 0.0000)
H (0.0640, 0.0640, 0.7372)
H (0.0729, 0.6986, 0.1373)
H (0.2337, 0.8611, 0.8004)
H (0.6986, 0.0729, 0.1373)
H (0.8445, 0.8445, 0.1601)
H (0.8611, 0.2337, 0.8004)
Br (0.2921, 0.2921, 0.3292)

The 12 most intense peaks (10° ≤ 2θ ≤ 90°), in order of rising 2θ:
16.93 deg, I = 36
19.76 deg, I = 70
24.88 deg, I = 100
27.34 deg, I = 13
27.69 deg, I = 18
31.29 deg, I = 28
32.04 deg, I = 28
39.26 deg, I = 13
40.46 deg, I = 23
41.51 deg, I = 25
45.40 deg, I = 18
51.04 deg, I = 13

Entry 2:
CaAcLa2In4: theoretical X-ray diffraction stick pattern (a wavelength of 1.5418 Å), based on a cell relaxed with GGA-PBE.

Cell and atoms:
a = 9.8375 Å, b = 9.8375 Å, c = 9.8375 Å
α = 33.08°, β = 33.08°, γ = 33.08°
Sites, in units of the cell vectors:
Ca (0.0000, 0.0000, 0.0000)
Ac (0.5000, 0.5000, 0.5000)
La (0.2544, 0.2544, 0.2544)
La (0.7456, 0.7456, 0.7456)
In (0.1232, 0.1232, 0.1232)
In (0.3739, 0.3739, 0.3739)
In (0.6261, 0.6261, 0.6261)
In (0.8768, 0.8768, 0.8768)

The 12 most intense peaks (10° ≤ 2θ ≤ 90°), in order of rising 2θ:
18.57 deg, I = 12
24.33 deg, I = 10
31.62 deg, I = 100
31.96 deg, I = 99
45.58 deg, I = 36
56.10 deg, I = 18
56.74 deg, I = 37
56.96 deg, I = 19
66.03 deg, I = 11
66.82 deg, I = 11
75.25 deg, I = 15
75.80 deg, I = 16

Please write out number 2 again, unchanged.
CaAcLa2In4: theoretical X-ray diffraction stick pattern (a wavelength of 1.5418 Å), based on a cell relaxed with GGA-PBE.

Cell and atoms:
a = 9.8375 Å, b = 9.8375 Å, c = 9.8375 Å
α = 33.08°, β = 33.08°, γ = 33.08°
Sites, in units of the cell vectors:
Ca (0.0000, 0.0000, 0.0000)
Ac (0.5000, 0.5000, 0.5000)
La (0.2544, 0.2544, 0.2544)
La (0.7456, 0.7456, 0.7456)
In (0.1232, 0.1232, 0.1232)
In (0.3739, 0.3739, 0.3739)
In (0.6261, 0.6261, 0.6261)
In (0.8768, 0.8768, 0.8768)

The 12 most intense peaks (10° ≤ 2θ ≤ 90°), in order of rising 2θ:
18.57 deg, I = 12
24.33 deg, I = 10
31.62 deg, I = 100
31.96 deg, I = 99
45.58 deg, I = 36
56.10 deg, I = 18
56.74 deg, I = 37
56.96 deg, I = 19
66.03 deg, I = 11
66.82 deg, I = 11
75.25 deg, I = 15
75.80 deg, I = 16